Record 1
Starting from a PBE-relaxed structure, the X-ray powder pattern of Ti8Sn2H3 was computed for a wavelength of 1.5418 Å.
Peak positions follow from Bragg's law for the DFT cell and can differ from measured ones.

Most intense lines, 2θ from 5° to 70°, sorted by position:
| Position (°2θ) | intensity | h k l |
| --- | --- | --- |
| 7.8 | 25 | 0 0 1 |
| 15.7 | 18 | 0 0 2 |
| 32.1 | 18 | 1 1 1 |
| 35.0 | 63 | 1 1 2 |
| 39.4 | 100 | 1 1 3 |
| 40.0 | 28 | 0 0 5 |
| 44.5 | 50 | 2 0 0 |
| 61.4 | 30 | 2 0 5 |

Structural model:
abc: 4.068 4.068 11.274
angles: 90.00 90.00 90.00
Space group P4/mmm (No. 123)
Asymmetric unit:
Ti 0.000 0.000 0.195 [2 per cell]
Ti 0.000 0.500 0.000 [2 per cell]
Ti 0.000 0.500 0.378 [4 per cell]
Sn 0.500 0.500 0.189 [2 per cell]
H 0.000 0.000 0.000 [1 per cell]
H 0.000 0.000 0.362 [2 per cell]

---

Record 2
Starting from a PBE-relaxed structure, the X-ray powder pattern of Tm4SnH was computed for a wavelength of 1.5418 Å.
Peak positions follow from Bragg's law for the DFT cell and can differ from measured ones.

Most intense lines, 2θ from 5° to 70°, sorted by position:
| Position (°2θ) | intensity | h k l |
| --- | --- | --- |
| 29.6 | 46 | 2 2 0 |
| 32.2 | 72 | 2 0 -2 |
| 33.2 | 100 | 6 0 -1 |
| 36.3 | 97 | 4 2 -1 |
| 44.3 | 30 | 0 2 2 |
| 60.2 | 22 | 6 2 -3 |
| 65.5 | 25 | 10 2 -2 |
| 66.8 | 27 | 6 4 -1 |

Structural model:
abc: 16.391 6.555 5.551
angles: 90.00 109.78 90.00
Space group C2/m (No. 12)
Asymmetric unit:
Tm 0.000 0.244 0.000 [4 per cell]
Tm 0.113 0.251 0.616 [8 per cell]
Tm 0.200 0.000 0.218 [4 per cell]
Sn 0.188 0.500 0.181 [4 per cell]
H 0.086 0.000 0.873 [4 per cell]

---

Record 3
Starting from a PBE-relaxed structure, the X-ray powder pattern of Y2SnH3 was computed for a wavelength of 1.5418 Å.
Peak positions follow from Bragg's law for the DFT cell and can differ from measured ones.

Most intense lines, 2θ from 5° to 70°, sorted by position:
| Position (°2θ) | intensity | h k l |
| --- | --- | --- |
| 29.0 | 77 | 4 0 -2 |
| 29.4 | 35 | 1 1 1 |
| 31.6 | 100 | 3 1 0 |
| 33.7 | 39 | 4 0 1 |
| 34.1 | 82 | 1 1 -2 |
| 51.3 | 21 | 7 1 -2 |
| 56.6 | 21 | 3 1 3 |
| 60.2 | 28 | 7 1 1 |

Structural model:
abc: 14.475 3.666 7.604
angles: 90.00 112.24 90.00
Space group C2/m (No. 12)
Asymmetric unit:
Y 0.029 0.000 0.270 [4 per cell]
Y 0.194 0.500 0.662 [4 per cell]
Sn 0.140 0.500 0.034 [4 per cell]
H 0.065 0.500 0.410 [4 per cell]
H 0.091 0.000 0.612 [4 per cell]
H 0.190 0.000 0.468 [4 per cell]

---

Record 4
Starting from a PBE-relaxed structure, the X-ray powder pattern of Y6Sn3H was computed for a wavelength of 1.5418 Å.
Peak positions follow from Bragg's law for the DFT cell and can differ from measured ones.

Most intense lines, 2θ from 5° to 70°, sorted by position:
| Position (°2θ) | intensity | h k l |
| --- | --- | --- |
| 27.2 | 29 | 3 1 1 |
| 30.2 | 37 | 1 1 2 |
| 32.3 | 63 | 1 5 0 |
| 32.6 | 100 | 3 3 1 |
| 35.5 | 51 | 4 2 1 |
| 38.3 | 22 | 0 4 2 |
| 62.2 | 18 | 5 3 3 |
| 67.5 | 19 | 4 6 3 |

Structural model:
abc: 11.992 14.230 6.248
angles: 90.00 90.00 90.00
Space group Cmc2_1 (No. 36)
Asymmetric unit:
Y 0.000 0.093 0.000 [4 per cell]
Y 0.000 0.300 0.730 [4 per cell]
Y 0.177 0.288 0.209 [8 per cell]
Y 0.220 0.451 0.638 [8 per cell]
Sn 0.000 0.465 0.352 [4 per cell]
Sn 0.120 0.114 0.501 [8 per cell]
H 0.000 0.251 0.068 [4 per cell]

---

Record 5
Starting from a PBE-relaxed structure, the X-ray powder pattern of Zr5Sn4H was computed for a wavelength of 1.5418 Å.
Peak positions follow from Bragg's law for the DFT cell and can differ from measured ones.

Most intense lines, 2θ from 5° to 70°, sorted by position:
| Position (°2θ) | intensity | h k l |
| --- | --- | --- |
| 31.8 | 64 | 0 0 2 |
| 32.4 | 55 | 1 3 0 |
| 34.6 | 100 | 3 0 1 |
| 40.5 | 55 | 3 2 1 |
| 46.0 | 41 | 1 3 2 |
| 58.5 | 22 | 3 0 3 |
| 62.6 | 15 | 3 2 3 |
| 67.2 | 26 | 1 6 1 |

Structural model:
abc: 8.750 8.750 5.627
angles: 90.00 90.00 90.00
Space group I4 (No. 79)
Asymmetric unit:
Zr 0.000 0.000 0.000 [2 per cell]
Zr 0.116 0.215 0.508 [8 per cell]
Sn 0.058 0.337 0.006 [8 per cell]
H 0.000 0.000 0.379 [2 per cell]

---

Record 6
Starting from a PBE-relaxed structure, the X-ray powder pattern of ZrSnH was computed for a wavelength of 1.5418 Å.
Peak positions follow from Bragg's law for the DFT cell and can differ from measured ones.

Most intense lines, 2θ from 5° to 70°, sorted by position:
| Position (°2θ) | intensity | h k l |
| --- | --- | --- |
| 33.2 | 52 | 4 4 0 |
| 34.0 | 10 | 2 5 1 |
| 34.2 | 100 | 4 0 2 |
| 38.0 | 22 | 1 6 1 |
| 39.8 | 11 | 1 2 3 |
| 47.7 | 11 | 8 0 0 |
| 60.0 | 16 | 4 8 2 |
| 61.2 | 11 | 5 6 3 |

Structural model:
abc: 15.259 15.259 7.201
angles: 90.00 90.00 90.00
Space group I4_1/a (No. 88, origin choice 2)
Asymmetric unit:
Zr 0.122 0.489 0.048 [16 per cell]
Zr 0.128 0.033 0.499 [16 per cell]
Sn 0.018 0.399 0.726 [16 per cell]
Sn 0.026 0.125 0.209 [16 per cell]
H 0.148 0.441 0.302 [16 per cell]
H 0.178 0.007 0.225 [16 per cell]